Entry 1:
Computed X-ray diffraction stick pattern
Compound: LaNd4Sm8
Radiation: λ = 1.5418 Å (Cu Kα)
Structure: a crystal structure in Alexandria, relaxed with PBE
Lines closer than 0.1° are merged.

Largest 8 diffraction maxima, in order of falling intensity, 10° ≤ 2θ ≤ 90°:
| 2θ (°) | I/Imax | (hkl) |
| --- | --- | --- |
| 31.78 | 100.0 | 0 2 4 |
| 31.93 | 98.2 | 2 2 0 |
| 56.84 | 54.0 | 2 4 4 |
| 45.67 | 35.6 | 4 0 4 |
| 19.38 | 19.4 | 0 2 1 |
| 56.51 | 18.7 | 2 0 8 |
| 22.38 | 14.9 | 2 0 2 |
| 75.58 | 14.8 | 4 2 8 |

Atomic structure:
Lattice parameters (Å, degrees): 11.2103 11.2103 13.8286 90.00 90.00 120.00
Space group R-3m (No. 166, hexagonal axes)
Inequivalent atoms, fractional coordinates:
La: 0.0000 0.0000 0.0000 [3 per cell]
Nd: 0.0000 0.0000 0.5000 [3 per cell]
Nd: 0.0000 0.5000 0.5000 [9 per cell]
Sm: 0.0000 0.0000 0.2614 [6 per cell]
Sm: 0.0165 0.5083 0.2477 [18 per cell]

Entry 2:
Computed X-ray diffraction stick pattern
Compound: LiPRu2
Radiation: λ = 1.5418 Å (Cu Kα)
Structure: a crystal structure in Alexandria, relaxed with PBE
Lines closer than 0.1° are merged.

Largest 8 diffraction maxima, in order of falling intensity, 10° ≤ 2θ ≤ 90°:
| 2θ (°) | I/Imax | (hkl) |
| --- | --- | --- |
| 43.71 | 100.0 | 1 1 2 |
| 24.63 | 62.1 | 0 1 1 |
| 32.35 | 30.8 | 1 0 1 |
| 41.22 | 27.6 | 0 0 4 |
| 45.73 | 22.4 | 0 2 0 |
| 38.27 | 22.1 | 0 1 3 |
| 76.89 | 20.3 | 1 1 6 |
| 63.25 | 15.1 | 0 2 4 |

Atomic structure:
Lattice parameters (Å, degrees): 2.917 3.968 8.760 90.00 90.00 90.00
Space group Imm2 (No. 44)
Inequivalent atoms, fractional coordinates:
Li: 0.000 0.000 0.000 [2 per cell]
P: 0.000 0.500 0.247 [2 per cell]
Ru: 0.000 0.000 0.535 [2 per cell]
Ru: 0.000 0.500 0.775 [2 per cell]

Entry 3:
Computed X-ray diffraction stick pattern
Compound: Y4AlI5
Radiation: λ = 1.5418 Å (Cu Kα)
Structure: a crystal structure in Alexandria, relaxed with PBE
Lines closer than 0.1° are merged.

Largest 8 diffraction maxima, in order of falling intensity, 10° ≤ 2θ ≤ 90°:
| 2θ (°) | I/Imax | (hkl) |
| --- | --- | --- |
| 29.16 | 100.0 | 1 1 -2 |
| 28.39 | 49.8 | 6 0 0 |
| 40.94 | 36.4 | 5 1 2 |
| 41.35 | 33.7 | 7 1 -2 |
| 52.15 | 19.2 | 6 2 0 |
| 40.60 | 18.5 | 2 0 -4 |
| 42.80 | 18.0 | 0 2 0 |
| 31.79 | 12.9 | 5 1 0 |

Atomic structure:
Lattice parameters (Å, degrees): 19.324 4.226 8.890 90.00 102.51 90.00
Space group C2/m (No. 12)
Inequivalent atoms, fractional coordinates:
Y: 0.000 0.000 0.219 [4 per cell]
Y: 0.148 0.500 0.076 [4 per cell]
Al: 0.000 0.500 0.000 [2 per cell]
I: 0.000 0.500 0.500 [2 per cell]
I: 0.167 0.000 0.337 [4 per cell]
I: 0.173 0.000 0.832 [4 per cell]

Entry 4:
Computed X-ray diffraction stick pattern
Compound: Rb2SrLaBr6
Radiation: λ = 1.5418 Å (Cu Kα)
Structure: a crystal structure in Alexandria, relaxed with PBE
Lines closer than 0.1° are merged.

Largest 8 diffraction maxima, in order of falling intensity, 10° ≤ 2θ ≤ 90°:
| 2θ (°) | I/Imax | (hkl) |
| --- | --- | --- |
| 29.78 | 100.0 | 4 0 0 |
| 42.62 | 73.6 | 4 4 0 |
| 25.71 | 48.3 | 2 2 2 |
| 70.14 | 33.0 | 8 4 0 |
| 20.94 | 32.7 | 2 2 0 |
| 14.76 | 32.0 | 2 0 0 |
| 52.85 | 25.8 | 4 4 4 |
| 78.01 | 24.6 | 8 4 4 |

Atomic structure:
Lattice parameters (Å, degrees): 12.001 12.001 12.001 90.00 90.00 90.00
Space group Fm-3m (No. 225)
Inequivalent atoms, fractional coordinates:
Rb: 0.250 0.250 0.250 [8 per cell]
Sr: 0.000 0.000 0.000 [4 per cell]
La: 0.000 0.000 0.500 [4 per cell]
Br: 0.000 0.000 0.251 [24 per cell]

Entry 5:
Computed X-ray diffraction stick pattern
Compound: La5PrHg2
Radiation: λ = 1.5418 Å (Cu Kα)
Structure: a crystal structure in Alexandria, relaxed with PBE
Lines closer than 0.1° are merged.

Largest 8 diffraction maxima, in order of falling intensity, 10° ≤ 2θ ≤ 90°:
| 2θ (°) | I/Imax | (hkl) |
| --- | --- | --- |
| 31.74 | 100.0 | 1 1 0 |
| 32.06 | 59.9 | 1 0 6 |
| 56.74 | 23.7 | 2 1 6 |
| 45.74 | 22.4 | 2 0 6 |
| 41.60 | 20.9 | 1 1 6 |
| 56.54 | 19.5 | 3 0 0 |
| 35.86 | 15.0 | 1 0 7 |
| 66.31 | 12.1 | 2 2 0 |

Atomic structure:
Lattice parameters (Å, degrees): 5.6383 5.6383 20.4169 90.00 90.00 120.00
Space group P6_3/mmc (No. 194)
Inequivalent atoms, fractional coordinates:
La: 0.0000 0.0000 0.1593 [4 per cell]
La: 0.3333 0.6667 0.0625 [4 per cell]
La: 0.3333 0.6667 0.2500 [2 per cell]
Pr: 0.3333 0.6667 0.7500 [2 per cell]
Hg: 0.3333 0.6667 0.5952 [4 per cell]

Entry 6:
Computed X-ray diffraction stick pattern
Compound: Ba2Os2I
Radiation: λ = 1.5418 Å (Cu Kα)
Structure: a crystal structure in Alexandria, relaxed with PBE
Lines closer than 0.1° are merged.

Largest 8 diffraction maxima, in order of falling intensity, 10° ≤ 2θ ≤ 90°:
| 2θ (°) | I/Imax | (hkl) |
| --- | --- | --- |
| 30.97 | 100.0 | 2 1 1 |
| 28.97 | 69.6 | 2 0 1 |
| 60.55 | 26.8 | 5 1 1 |
| 15.17 | 26.8 | 1 1 0 |
| 38.91 | 26.2 | 0 0 2 |
| 39.33 | 26.1 | 3 2 0 |
| 34.33 | 25.4 | 3 1 0 |
| 44.10 | 21.9 | 3 2 1 |

Atomic structure:
Lattice parameters (Å, degrees): 8.261 8.261 4.630 90.00 90.00 90.00
Space group P4/mbm (No. 127)
Inequivalent atoms, fractional coordinates:
Ba: 0.179 0.321 0.000 [4 per cell]
Os: 0.097 0.597 0.500 [4 per cell]
I: 0.000 0.000 0.500 [2 per cell]

Entry 7:
Computed X-ray diffraction stick pattern
Compound: Tb8MgPb6
Radiation: λ = 1.5418 Å (Cu Kα)
Structure: a crystal structure in Alexandria, relaxed with PBE
Lines closer than 0.1° are merged.

Largest 8 diffraction maxima, in order of falling intensity, 10° ≤ 2θ ≤ 90°:
| 2θ (°) | I/Imax | (hkl) |
| --- | --- | --- |
| 33.50 | 100.0 | 3 0 0 |
| 33.90 | 86.9 | 1 1 6 |
| 19.15 | 38.6 | 1 1 0 |
| 44.00 | 36.9 | 0 3 6 |
| 27.70 | 32.0 | 0 0 6 |
| 48.40 | 24.9 | 4 -2 6 |
| 30.90 | 20.6 | 1 2 2 |
| 23.65 | 19.5 | 1 1 3 |

Atomic structure:
Lattice parameters (Å, degrees): 9.2674 9.2674 19.3243 90.00 90.00 120.00
Space group R-3 (No. 148, hexagonal axes)
Inequivalent atoms, fractional coordinates:
Tb: 0.0000 0.0000 0.1676 [6 per cell]
Tb: 0.0044 0.2920 0.5960 [18 per cell]
Mg: 0.0000 0.0000 0.5000 [3 per cell]
Pb: 0.0023 0.3666 0.4251 [18 per cell]

Entry 8:
Computed X-ray diffraction stick pattern
Compound: Cs7Au2Se2
Radiation: λ = 1.5418 Å (Cu Kα)
Structure: a crystal structure in Alexandria, relaxed with PBE
Lines closer than 0.1° are merged.

Largest 8 diffraction maxima, in order of falling intensity, 10° ≤ 2θ ≤ 90°:
| 2θ (°) | I/Imax | (hkl) |
| --- | --- | --- |
| 29.19 | 100.0 | 2 2 2 |
| 18.55 | 51.4 | 2 0 1 |
| 27.67 | 41.5 | 0 4 0 |
| 31.33 | 31.3 | 4 0 0 |
| 42.28 | 26.7 | 4 4 0 |
| 24.57 | 21.9 | 0 2 2 |
| 33.52 | 21.8 | 2 4 1 |
| 49.89 | 21.2 | 2 6 2 |

Atomic structure:
Lattice parameters (Å, degrees): 11.419 12.898 8.759 90.00 90.00 90.00
Space group Cmmm (No. 65)
Inequivalent atoms, fractional coordinates:
Cs: 0.000 0.000 0.000 [2 per cell]
Cs: 0.000 0.500 0.236 [4 per cell]
Cs: 0.250 0.250 0.248 [8 per cell]
Au: 0.246 0.500 0.500 [4 per cell]
Se: 0.000 0.276 0.000 [4 per cell]